[1]
Diffraction record for BaAgPdBr6. The X-ray powder pattern is theoretical, not measured: it uses the GGA-PBE geometry in Alexandria and CuKα.

Most intense lines, 2θ = 15–90°, low angle first:
two_theta  Rel. int.
18.61  100
19.55  93
19.77  98
26.44  66
28.99  55
34.49  92
37.12  67
37.32  66
42.60  57
42.82  57

Atomic structure:
```
data_BaAgPdBr6
_chemical_formula_sum 'Ba1 Ag1 Pd1 Br6'
_cell_length_a 6.839
_cell_length_b 7.031
_cell_length_c 7.062
_cell_angle_alpha 115.53
_cell_angle_beta 91.58
_cell_angle_gamma 91.93
_symmetry_space_group_name_H-M 'P 1'
_symmetry_Int_Tables_number 1
loop_
_symmetry_equiv_pos_as_xyz
'x,y,z'
loop_
_atom_site_label
_atom_site_type_symbol
_atom_site_fract_x
_atom_site_fract_y
_atom_site_fract_z
Ba1 Ba 0.000 0.000 0.000
Ag1 Ag 0.500 0.315 0.689
Pd1 Pd 0.501 0.663 0.338
Br1 Br 0.266 0.963 0.612
Br2 Br 0.286 0.377 0.363
Br3 Br 0.287 0.643 0.031
Br4 Br 0.714 0.637 0.622
Br5 Br 0.715 0.972 0.359
Br6 Br 0.736 0.390 0.038
```

***

[2]
Diffraction record for KTbSe4. The X-ray powder pattern is theoretical, not measured: it uses the GGA-PBE geometry in Alexandria and CuKα.

Most intense lines, 2θ = 15–90°, low angle first:
two_theta  Rel. int.
29.23  100
33.61  74
35.66  34
37.94  23
38.52  14
45.65  57
46.97  15
54.52  23
63.16  23
64.51  17

Atomic structure:
```
data_KTbSe4
_chemical_formula_sum 'K2 Tb2 Se8'
_cell_length_a 6.286
_cell_length_b 6.286
_cell_length_c 8.411
_cell_angle_alpha 90.00
_cell_angle_beta 90.00
_cell_angle_gamma 90.00
_symmetry_space_group_name_H-M 'P 1'
_symmetry_Int_Tables_number 1
loop_
_symmetry_equiv_pos_as_xyz
'x,y,z'
loop_
_atom_site_label
_atom_site_type_symbol
_atom_site_fract_x
_atom_site_fract_y
_atom_site_fract_z
K1 K 0.250 0.250 0.000
K2 K 0.750 0.750 0.000
Tb1 Tb 0.250 0.250 0.500
Tb2 Tb 0.750 0.750 0.500
Se1 Se 0.113 0.613 0.293
Se2 Se 0.113 0.887 0.707
Se3 Se 0.387 0.613 0.707
Se4 Se 0.387 0.887 0.293
Se5 Se 0.613 0.113 0.707
Se6 Se 0.613 0.387 0.293
Se7 Se 0.887 0.113 0.293
Se8 Se 0.887 0.387 0.707
```